Diffraction record for Tm4TlHgB2. The X-ray diffraction stick pattern is calculated, not measured: it uses a DFT-relaxed cell (GGA-PBE, OQMD) and a wavelength of 1.5418 Å.
Peak positions follow from Bragg's law for the DFT cell and can differ from measured ones.

Most intense lines, 2θ from 10° to 90°, by angle:
| 2θ (°) | Rel. int. |
| --- | --- |
| 28.10 | 24.0 |
| 32.87 | 100.0 |
| 33.78 | 19.0 |
| 44.50 | 14.6 |
| 49.74 | 22.1 |
| 59.86 | 15.9 |
| 60.92 | 17.4 |
| 61.49 | 20.8 |
| 81.47 | 6.7 |
| 82.40 | 15.0 |

Crystal structure
Cell: 3.6660 3.6660 15.9188 Å, 90.00 90.00 120.00°
Element x y z (fractional)
1 Tm 0.0000 0.0000 0.1542
2 Tm 0.0000 0.0000 0.8458
3 Tm 0.3333 0.6667 0.3353
4 Tm 0.3333 0.6667 0.6647
5 Tl 0.0000 0.0000 0.5000
6 Hg 0.3333 0.6667 0.0000
7 B 0.6667 0.3333 0.2429
8 B 0.6667 0.3333 0.7571

Diffraction record for Zr3Hg2B2. The X-ray diffraction stick pattern is calculated, not measured: it uses a DFT-relaxed cell (GGA-PBE, OQMD) and a wavelength of 1.5418 Å.
Peak positions follow from Bragg's law for the DFT cell and can differ from measured ones.

Most intense lines, 2θ from 10° to 90°, by angle:
| 2θ (°) | Rel. int. |
| --- | --- |
| 14.57 | 37.8 |
| 29.12 | 100.0 |
| 31.26 | 34.4 |
| 33.55 | 28.7 |
| 34.92 | 86.7 |
| 36.97 | 31.5 |
| 38.02 | 53.9 |
| 43.44 | 39.7 |
| 50.83 | 53.4 |
| 64.50 | 37.3 |

Crystal structure
Cell: 12.3320 12.3320 12.3320 Å, 16.75 16.75 16.75°
Element x y z (fractional)
1 Zr 0.0000 0.0000 0.0000
2 Zr 0.2127 0.2127 0.2127
3 Zr 0.4766 0.4766 0.4766
4 Hg 0.0811 0.0811 0.0811
5 Hg 0.6047 0.6047 0.6047
6 B 0.3049 0.3049 0.3049
7 B 0.8438 0.8438 0.8438

Diffraction record for Ho2B5. The X-ray diffraction stick pattern is calculated, not measured: it uses a DFT-relaxed cell (GGA-PBE, OQMD) and a wavelength of 1.5418 Å.
Peak positions follow from Bragg's law for the DFT cell and can differ from measured ones.

Most intense lines, 2θ from 10° to 90°, by angle:
| 2θ (°) | Rel. int. |
| --- | --- |
| 23.20 | 60.6 |
| 26.72 | 55.1 |
| 30.51 | 73.8 |
| 35.67 | 59.3 |
| 38.68 | 100.0 |
| 49.61 | 23.2 |
| 55.45 | 30.1 |
| 57.45 | 25.4 |
| 68.58 | 17.6 |
| 71.07 | 15.6 |

Crystal structure
Cell: 5.3375 5.3375 5.3375 Å, 144.43 102.62 88.17°
Element x y z (fractional)
1 Ho 0.2455 0.2455 0.0000
2 Ho 0.7545 0.7545 0.0000
3 B 0.0000 0.5000 0.5000
4 B 0.2367 0.5000 0.7367
5 B 0.3624 0.0000 0.3624
6 B 0.6376 0.0000 0.6376
7 B 0.7633 0.5000 0.2633

Diffraction record for Ho4B7. The X-ray diffraction stick pattern is calculated, not measured: it uses a DFT-relaxed cell (GGA-PBE, OQMD) and a wavelength of 1.5418 Å.
Peak positions follow from Bragg's law for the DFT cell and can differ from measured ones.

Most intense lines, 2θ from 10° to 90°, by angle:
| 2θ (°) | Rel. int. |
| --- | --- |
| 24.91 | 62.4 |
| 25.37 | 66.0 |
| 25.95 | 54.9 |
| 30.82 | 96.6 |
| 31.15 | 100.0 |
| 32.88 | 88.7 |
| 33.84 | 94.0 |
| 33.95 | 68.9 |
| 34.20 | 91.0 |
| 48.34 | 54.6 |

Crystal structure
Cell: 3.7218 3.7652 11.7013 Å, 82.82 88.12 89.16°
Element x y z (fractional)
1 Ho 0.0245 0.0608 0.3461
2 Ho 0.4662 0.3742 0.8637
3 Ho 0.5338 0.6258 0.1363
4 Ho 0.9755 0.9392 0.6539
5 B 0.0000 0.0000 0.0000
6 B 0.0400 0.1209 0.1236
7 B 0.2535 0.4989 0.5008
8 B 0.4832 0.4510 0.6269
9 B 0.5168 0.5490 0.3731
10 B 0.7465 0.5011 0.4992
11 B 0.9600 0.8791 0.8764